Structure and simulated X-ray diffraction stick pattern of Tl3SnSe4 (a DFT-relaxed cell (PBE, the Materials Project); Cu Ka).
Intensities are scaled so that the largest is 100.

The 8 most intense peaks (15° ≤ 2θ ≤ 90°), by angle:
2θ = 23.6°, rel. 54
2θ = 24.0°, rel. 39
2θ = 25.5°, rel. 75
2θ = 30.7°, rel. 100
2θ = 31.3°, rel. 65
2θ = 33.9°, rel. 91
2θ = 34.9°, rel. 37
2θ = 36.8°, rel. 37

Structure:
a = 8.3689 Å, b = 8.4250 Å, c = 15.2931 Å
α = 90.00°, β = 99.23°, γ = 90.00°
Element x y z (fractional)
1 Tl 0.0077 0.0255 0.1167
2 Tl 0.0077 0.4745 0.6167
3 Tl 0.2336 0.1081 0.6367
4 Tl 0.2336 0.3919 0.1367
5 Tl 0.4020 0.6735 0.6137
6 Tl 0.4020 0.8265 0.1137
7 Tl 0.5980 0.1735 0.8863
8 Tl 0.5980 0.3265 0.3863
9 Tl 0.7664 0.6081 0.8633
10 Tl 0.7664 0.8919 0.3633
11 Tl 0.9923 0.5255 0.3833
12 Tl 0.9923 0.9745 0.8833
13 Sn 0.2021 0.0979 0.3759
14 Sn 0.2021 0.4021 0.8759
15 Sn 0.7979 0.5979 0.1241
16 Sn 0.7979 0.9021 0.6241
17 Se 0.0633 0.6945 0.2180
18 Se 0.0633 0.8055 0.7180
19 Se 0.1648 0.6419 0.9743
20 Se 0.1648 0.8581 0.4743
21 Se 0.3048 0.1592 0.9753
22 Se 0.3048 0.3408 0.4753
23 Se 0.4181 0.0701 0.2725
24 Se 0.4181 0.4299 0.7725
25 Se 0.5819 0.5701 0.2275
26 Se 0.5819 0.9299 0.7275
27 Se 0.6952 0.6592 0.5247
28 Se 0.6952 0.8408 0.0247
29 Se 0.8352 0.1419 0.5257
30 Se 0.8352 0.3581 0.0257
31 Se 0.9367 0.1945 0.2820
32 Se 0.9367 0.3055 0.7820

Structure and simulated X-ray diffraction stick pattern of ZrCuSi2 (a DFT-relaxed cell (PBE, the Materials Project); Cu Ka).
Intensities are scaled so that the largest is 100.

The 8 most intense peaks (15° ≤ 2θ ≤ 90°), by angle:
2θ = 26.0°, rel. 34
2θ = 38.2°, rel. 20
2θ = 39.4°, rel. 18
2θ = 39.7°, rel. 100
2θ = 49.2°, rel. 30
2θ = 56.1°, rel. 9
2θ = 64.8°, rel. 15
2θ = 85.7°, rel. 20

Structure:
a = 3.7019 Å, b = 3.7019 Å, c = 9.1447 Å
α = 90.00°, β = 90.00°, γ = 90.00°
Element x y z (fractional)
1 Zr 0.2500 0.2500 0.2341
2 Zr 0.7500 0.7500 0.7659
3 Cu 0.2500 0.7500 0.5000
4 Cu 0.7500 0.2500 0.5000
5 Si 0.2500 0.2500 0.6704
6 Si 0.2500 0.7500 0.0000
7 Si 0.7500 0.2500 0.0000
8 Si 0.7500 0.7500 0.3296

Structure and simulated X-ray diffraction stick pattern of PrZn3As3 (a DFT-relaxed cell (PBE, the Materials Project); Cu Ka).
Intensities are scaled so that the largest is 100.

The 8 most intense peaks (15° ≤ 2θ ≤ 90°), by angle:
2θ = 25.9°, rel. 86
2θ = 30.0°, rel. 56
2θ = 32.7°, rel. 27
2θ = 35.8°, rel. 79
2θ = 42.9°, rel. 100
2θ = 46.7°, rel. 26
2θ = 50.8°, rel. 30
2θ = 56.3°, rel. 36

Structure:
a = 4.2151 Å, b = 20.6589 Å, c = 4.2152 Å
α = 90.00°, β = 119.95°, γ = 90.00°
Element x y z (fractional)
1 Pr 0.0000 0.2500 0.0000
2 Pr 0.0000 0.7500 0.0000
3 Zn 0.2775 0.0000 0.6337
4 Zn 0.3356 0.3783 0.6674
5 Zn 0.3356 0.6217 0.6674
6 Zn 0.6345 0.5000 0.3577
7 Zn 0.6682 0.1218 0.3341
8 Zn 0.6682 0.8782 0.3341
9 As 0.2991 0.5000 0.6949
10 As 0.3348 0.1631 0.6674
11 As 0.3348 0.8369 0.6674
12 As 0.6040 0.0000 0.2968
13 As 0.6683 0.3370 0.3337
14 As 0.6683 0.6630 0.3337

Structure and simulated X-ray diffraction stick pattern of BaBiSe3 (a DFT-relaxed cell (PBE, the Materials Project); Cu Ka).
Intensities are scaled so that the largest is 100.

The 8 most intense peaks (15° ≤ 2θ ≤ 90°), by angle:
2θ = 23.4°, rel. 37
2θ = 26.1°, rel. 46
2θ = 28.8°, rel. 59
2θ = 29.6°, rel. 82
2θ = 31.0°, rel. 100
2θ = 41.0°, rel. 60
2θ = 43.6°, rel. 36
2θ = 44.7°, rel. 35

Structure:
a = 4.4028 Å, b = 16.6039 Å, c = 17.1785 Å
α = 90.00°, β = 90.00°, γ = 90.00°
Element x y z (fractional)
1 Ba 0.2281 0.1025 0.4070
2 Ba 0.2455 0.9601 0.1677
3 Ba 0.2545 0.0399 0.6677
4 Ba 0.2719 0.8975 0.9070
5 Ba 0.7281 0.3975 0.5930
6 Ba 0.7455 0.5399 0.8323
7 Ba 0.7545 0.4601 0.3323
8 Ba 0.7719 0.6025 0.0930
9 Bi 0.2371 0.2806 0.7936
10 Bi 0.2424 0.3688 0.0303
11 Bi 0.2576 0.6312 0.5303
12 Bi 0.2629 0.7194 0.2936
13 Bi 0.7371 0.2194 0.2064
14 Bi 0.7424 0.1312 0.9697
15 Bi 0.7576 0.8688 0.4697
16 Bi 0.7629 0.7806 0.7064
17 Se 0.1675 0.2385 0.5570
18 Se 0.1765 0.7120 0.8192
19 Se 0.2113 0.8168 0.5947
20 Se 0.2337 0.8978 0.3657
21 Se 0.2387 0.4336 0.7315
22 Se 0.2407 0.4759 0.4727
23 Se 0.2593 0.5241 0.9727
24 Se 0.2613 0.5664 0.2315
25 Se 0.2663 0.1022 0.8657
26 Se 0.2887 0.1832 0.0947
27 Se 0.3235 0.2880 0.3192
28 Se 0.3325 0.7615 0.0570
29 Se 0.6675 0.2615 0.4430
30 Se 0.6765 0.7880 0.1808
31 Se 0.7113 0.6832 0.4053
32 Se 0.7337 0.6022 0.6343
33 Se 0.7387 0.0664 0.2685
34 Se 0.7407 0.0241 0.5273
35 Se 0.7593 0.9759 0.0273
36 Se 0.7613 0.9336 0.7685
37 Se 0.7663 0.3978 0.1343
38 Se 0.7887 0.3168 0.9053
39 Se 0.8235 0.2120 0.6808
40 Se 0.8325 0.7385 0.9430

Structure and simulated X-ray diffraction stick pattern of Ce4SiI5 (a DFT-relaxed cell (PBE, the Materials Project); Cu Ka).
Intensities are scaled so that the largest is 100.

The 8 most intense peaks (15° ≤ 2θ ≤ 90°), by angle:
2θ = 27.2°, rel. 49
2θ = 28.4°, rel. 100
2θ = 30.7°, rel. 15
2θ = 39.4°, rel. 18
2θ = 39.5°, rel. 34
2θ = 39.8°, rel. 34
2θ = 41.6°, rel. 18
2θ = 50.4°, rel. 18

Structure:
a = 10.3195 Å, b = 10.3195 Å, c = 9.1473 Å
α = 102.19°, β = 102.19°, γ = 24.27°
Element x y z (fractional)
1 Ce 0.0021 0.0021 0.2874
2 Ce 0.3557 0.3557 0.4275
3 Ce 0.6443 0.6443 0.5725
4 Ce 0.9979 0.9979 0.7126
5 Si 0.5000 0.5000 0.5000
6 I 0.1610 0.1610 0.8343
7 I 0.1689 0.1689 0.3281
8 I 0.5000 0.5000 0.0000
9 I 0.8311 0.8311 0.6719
10 I 0.8390 0.8390 0.1657

> Which formula does entry 5 have?

Ce4SiI5